Simulated powder diffractogram
Compound: Ac2HoSbO8
Radiation: Cu Kα (λ = 1.5418 Å)
Structure: a DFT-relaxed cell (GGA-PBE, Alexandria)

Structure:
Unit cell a=4.5465 b=7.2131 c=5.6126 alpha=90.00 beta=93.51 gamma=90.00
Fractional positions:
Ac 0.0000 0.2469 0.0000
Ac 0.0000 0.7531 0.0000
Ho 0.5000 0.5000 0.5000
Sb 0.5000 0.0000 0.5000
O 0.0693 0.0000 0.3850
O 0.0852 0.5000 0.2556
O 0.4525 0.2089 0.7339
O 0.4525 0.7911 0.7339
O 0.5475 0.2089 0.2661
O 0.5475 0.7911 0.2661
O 0.9148 0.5000 0.7444
O 0.9307 0.0000 0.6150

Largest 6 diffraction maxima, most intense first, 2θ from 15° to 90°:
Position (°2θ), intensity, (hkl)
29.5, 100, 0 2 1
24.5, 73, 1 0 -1
26.0, 60, 1 0 1
31.7, 55, 1 2 0
44.7, 39, 1 2 -2
46.5, 32, 1 2 2

=====

Simulated powder diffractogram
Compound: AcHoTaO6
Radiation: Cu Kα (λ = 1.5418 Å)
Structure: a DFT-relaxed cell (GGA-PBE, Alexandria)

Structure:
Unit cell a=5.1763 b=5.1763 c=10.4998 alpha=90.00 beta=90.00 gamma=90.00
Fractional positions:
Ac 0.0000 0.0000 0.0000
Ac 0.5000 0.5000 0.5000
Ho 0.0000 0.0000 0.3334
Ho 0.5000 0.5000 0.8334
Ta 0.0000 0.0000 0.6656
Ta 0.5000 0.5000 0.1656
O 0.1714 0.1714 0.5135
O 0.1940 0.1940 0.7994
O 0.2262 0.2262 0.1825
O 0.2738 0.7262 0.6825
O 0.3060 0.6940 0.2994
O 0.3286 0.6714 0.0135
O 0.6714 0.3286 0.0135
O 0.6940 0.3060 0.2994
O 0.7262 0.2738 0.6825
O 0.7738 0.7738 0.1825
O 0.8060 0.8060 0.7994
O 0.8286 0.8286 0.5135

Largest 6 diffraction maxima, most intense first, 2θ from 15° to 90°:
Position (°2θ), intensity, (hkl)
24.3, 100, 1 1 0
30.8, 94, 1 0 3
47.1, 71, 2 1 3
34.7, 29, 2 0 0
59.8, 20, 3 0 3
56.2, 18, 3 1 0

=====

Simulated powder diffractogram
Compound: AcHoTc2O8
Radiation: Cu Kα (λ = 1.5418 Å)
Structure: a DFT-relaxed cell (GGA-PBE, Alexandria)

Structure:
Unit cell a=5.9016 b=5.9016 c=7.2310 alpha=90.00 beta=90.00 gamma=120.00
Fractional positions:
Ac 0.0000 0.0000 0.0000
Ho 0.0000 0.0000 0.5000
Tc 0.3333 0.6667 0.7830
Tc 0.6667 0.3333 0.2170
O 0.1580 0.3160 0.7151
O 0.1580 0.8420 0.7151
O 0.3160 0.1580 0.2849
O 0.3333 0.6667 0.0320
O 0.6667 0.3333 0.9680
O 0.6840 0.8420 0.7151
O 0.8420 0.1580 0.2849
O 0.8420 0.6840 0.2849

Largest 6 diffraction maxima, most intense first, 2θ from 15° to 90°:
Position (°2θ), intensity, (hkl)
30.3, 100, 1 1 0
17.4, 43, 1 0 0
53.8, 40, 3 0 0
43.4, 27, 0 2 2
21.3, 25, 1 0 1
87.4, 16, 4 1 0